# 1
The following is a simulated powder diffraction line list of Ac3Pr8Ho. It was derived from a cell relaxed with GGA-PBE, using λ = 1.5418 Å (Cu Kα).
No peak broadening, texture or thermal motion is included.

Most intense lines, 2θ from 10° to 90°, in order of rising 2θ:
2theta, I (rel.)
22.65, 19
23.52, 18
28.58, 84
29.38, 39
29.52, 100
32.33, 22
33.33, 34
33.61, 25
34.69, 32
55.90, 37

Atomic structure:
```
12
Lattice="-3.388 4.805 7.226 3.388 -4.805 7.226 3.388 4.805 -7.226" Properties=species:S:1:pos:R:3 pbc="T T T"
Ac 0.000 0.000 0.000
Ac 3.388 0.000 1.891
Ac 0.000 4.805 5.334
Pr 2.438 3.373 -2.980
Pr 2.494 -1.519 5.770
Pr 0.895 3.286 1.456
Pr 0.950 1.432 4.245
Pr 0.895 6.325 -1.456
Pr 4.339 3.373 2.980
Pr 2.494 1.519 8.682
Pr -0.950 1.432 10.206
Ho 0.000 0.000 7.226
```

# 2
The following is a simulated powder diffraction line list of Ac5Pr2Ho2. It was derived from a cell relaxed with GGA-PBE, using λ = 1.5418 Å (Cu Kα).
No peak broadening, texture or thermal motion is included.

Most intense lines, 2θ from 10° to 90°, in order of rising 2θ:
2theta, I (rel.)
28.49, 100
28.57, 50
28.73, 49
32.98, 34
33.11, 34
33.24, 33
47.39, 38
56.12, 15
56.25, 23
56.38, 15

Atomic structure:
```
9
Lattice="6.582 0.000 0.000 1.113 6.550 0.000 1.123 2.065 8.270" Properties=species:S:1:pos:R:3 pbc="T T T"
Ac 0.000 0.000 0.000
Ac 2.275 5.225 6.402
Ac 2.236 1.909 4.558
Ac 6.582 6.706 3.712
Ac 6.543 3.390 1.868
Pr 3.292 1.676 0.893
Pr 5.526 6.939 7.377
Ho 3.331 5.048 2.724
Ho 5.487 3.567 5.546
```

# 3
The following is a simulated powder diffraction line list of Ac3Pr3Ho. It was derived from a cell relaxed with GGA-PBE, using λ = 1.5418 Å (Cu Kα).
No peak broadening, texture or thermal motion is included.

Most intense lines, 2θ from 10° to 90°, in order of rising 2θ:
2theta, I (rel.)
25.34, 35
27.77, 49
28.45, 21
30.00, 100
30.42, 99
31.52, 64
31.71, 40
45.32, 31
55.19, 22
55.45, 19

Atomic structure:
```
28
Lattice="13.995 0.000 0.000 0.000 5.676 0.000 0.000 0.000 14.171" Properties=species:S:1:pos:R:3 pbc="T T T"
Ac 1.272 1.419 0.863
Ac 1.324 1.419 7.902
Ac 2.601 4.257 5.119
Ac 4.396 1.419 12.205
Ac 5.674 4.257 0.817
Ac 5.725 4.257 7.949
Ac 8.270 1.419 6.222
Ac 8.322 1.419 13.354
Ac 9.599 4.257 1.966
Ac 11.394 1.419 9.052
Ac 12.672 4.257 6.268
Ac 12.723 4.257 13.308
Pr 0.481 1.419 4.436
Pr 2.278 4.257 13.249
Pr 2.912 4.257 9.914
Pr 4.086 1.419 2.828
Pr 4.720 1.419 6.164
Pr 6.517 4.257 11.521
Pr 7.479 1.419 2.650
Pr 9.275 4.257 8.007
Pr 9.909 4.257 11.343
Pr 11.084 1.419 4.257
Pr 11.718 1.419 0.922
Pr 13.514 4.257 9.735
Ho 0.644 1.419 11.520
Ho 6.353 4.257 4.434
Ho 7.642 1.419 9.736
Ho 13.351 4.257 2.651
```

# 4
The following is a simulated powder diffraction line list of Ac9PrHo2. It was derived from a cell relaxed with GGA-PBE, using λ = 1.5418 Å (Cu Kα).
No peak broadening, texture or thermal motion is included.

Most intense lines, 2θ from 10° to 90°, in order of rising 2θ:
2theta, I (rel.)
28.09, 100
32.55, 51
46.70, 38
55.39, 47
58.08, 14
68.23, 4
75.30, 19
77.59, 12
77.66, 6
86.71, 14

Atomic structure:
```
12
Lattice="5.498 0.000 0.000 0.000 5.498 0.000 0.000 0.000 16.523" Properties=species:S:1:pos:R:3 pbc="T T T"
Ac 0.000 0.000 0.000
Ac 0.000 0.000 5.532
Ac 0.000 0.000 10.992
Ac 0.000 2.749 2.794
Ac 0.000 2.749 8.262
Ac 0.000 2.749 13.730
Ac 2.749 0.000 2.794
Ac 2.749 0.000 8.262
Ac 2.749 0.000 13.730
Pr 2.749 2.749 0.000
Ho 2.749 2.749 5.531
Ho 2.749 2.749 10.992
```

# 5
The following is a simulated powder diffraction line list of Ac8Pr4Ho. It was derived from a cell relaxed with GGA-PBE, using λ = 1.5418 Å (Cu Kα).
No peak broadening, texture or thermal motion is included.

Most intense lines, 2θ from 10° to 90°, in order of rising 2θ:
2theta, I (rel.)
28.22, 100
32.48, 17
32.73, 17
32.90, 17
46.78, 13
46.90, 13
55.37, 16
55.69, 15
55.92, 15
58.37, 13

Atomic structure:
```
13
Lattice="6.095 -2.757 0.000 6.095 2.757 0.000 -1.148 0.000 15.888" Properties=species:S:1:pos:R:3 pbc="T T T"
Ac 0.056 0.000 6.121
Ac 1.276 0.000 14.711
Ac 2.463 0.000 10.975
Ac 4.905 0.000 3.601
Ac 6.138 0.000 12.286
Ac 8.580 0.000 4.913
Ac 9.768 0.000 1.177
Ac 10.987 0.000 9.767
Pr 1.206 0.000 2.398
Pr 3.712 0.000 7.347
Pr 7.331 0.000 8.541
Pr 9.837 0.000 13.490
Ho 6.095 0.000 0.000
```

# 6
The following is a simulated powder diffraction line list of Ac8Pr2Ho3. It was derived from a cell relaxed with GGA-PBE, using λ = 1.5418 Å (Cu Kα).
No peak broadening, texture or thermal motion is included.

Most intense lines, 2θ from 10° to 90°, in order of rising 2θ:
2theta, I (rel.)
28.38, 100
28.56, 33
32.89, 46
33.04, 22
47.12, 17
47.28, 17
47.43, 16
55.98, 21
56.07, 10
56.20, 20

Atomic structure:
```
13
Lattice="6.667 0.000 0.000 -1.119 6.592 0.000 -2.245 -0.418 11.893" Properties=species:S:1:pos:R:3 pbc="T T T"
Ac -0.504 2.668 1.764
Ac -0.571 0.456 9.274
Ac 0.525 5.157 4.537
Ac 0.494 4.037 8.280
Ac 2.809 2.136 3.614
Ac 2.779 1.016 7.357
Ac 3.875 5.718 2.620
Ac 3.808 3.506 10.130
Pr -0.580 1.564 5.505
Pr 3.884 4.610 6.388
Ho 0.605 6.302 0.865
Ho 2.774 3.296 0.000
Ho 2.699 -0.128 11.028
```

# 7
The following is a simulated powder diffraction line list of AcPr6Ho3. It was derived from a cell relaxed with GGA-PBE, using λ = 1.5418 Å (Cu Kα).
No peak broadening, texture or thermal motion is included.

Most intense lines, 2θ from 10° to 90°, in order of rising 2θ:
2theta, I (rel.)
28.87, 39
30.25, 100
30.79, 36
30.92, 65
31.04, 80
31.31, 77
31.55, 76
36.27, 43
47.20, 35
59.35, 30

Atomic structure:
```
20
Lattice="13.574 0.000 0.000 0.000 3.665 0.000 -2.106 0.000 14.286" Properties=species:S:1:pos:R:3 pbc="T T T"
Ac 1.391 0.916 5.429
Ac 10.078 2.749 8.857
Pr -0.175 2.749 2.702
Pr -0.146 0.916 8.627
Pr 1.310 2.749 11.783
Pr 3.462 2.749 2.756
Pr 4.970 0.916 5.760
Pr 4.488 0.916 11.186
Pr 6.980 2.749 3.100
Pr 6.499 2.749 8.525
Pr 8.006 0.916 11.530
Pr 10.158 0.916 2.503
Pr 11.614 2.749 5.659
Pr 11.644 0.916 11.584
Ho 1.664 0.916 0.277
Ho 2.995 2.749 8.347
Ho 5.264 0.916 0.229
Ho 6.204 2.749 14.057
Ho 8.474 0.916 5.939
Ho 9.804 2.749 14.008
```

# 8
The following is a simulated powder diffraction line list of Ac3Pr4Ho. It was derived from a cell relaxed with GGA-PBE, using λ = 1.5418 Å (Cu Kα).
No peak broadening, texture or thermal motion is included.

Most intense lines, 2θ from 10° to 90°, in order of rising 2θ:
2theta, I (rel.)
28.82, 100
33.31, 17
33.44, 34
47.95, 37
56.80, 15
56.97, 29
59.69, 13
77.50, 12
80.02, 8
89.54, 8

Atomic structure:
```
16
Lattice="5.379 0.000 0.000 0.000 10.722 0.000 0.000 0.000 10.717" Properties=species:S:1:pos:R:3 pbc="T T T"
Ac 1.345 0.045 1.399
Ac 1.345 2.680 9.322
Ac 1.345 5.316 1.399
Ac 4.034 5.406 9.318
Ac 4.034 8.041 1.395
Ac 4.034 10.677 9.318
Pr 1.345 2.680 4.050
Pr 1.345 5.409 6.642
Pr 1.345 8.041 4.108
Pr 1.345 10.674 6.642
Pr 4.034 0.048 4.075
Pr 4.034 2.680 6.608
Pr 4.034 5.313 4.075
Pr 4.034 8.041 6.667
Ho 1.345 8.041 9.277
Ho 4.034 2.680 1.440
```

# 9
The following is a simulated powder diffraction line list of AcPr4Ho3. It was derived from a cell relaxed with GGA-PBE, using λ = 1.5418 Å (Cu Kα).
No peak broadening, texture or thermal motion is included.

Most intense lines, 2θ from 10° to 90°, in order of rising 2θ:
2theta, I (rel.)
29.76, 100
34.41, 34
34.69, 16
49.45, 12
49.66, 24
58.79, 29
59.16, 14
61.81, 12
80.32, 6
80.64, 12

Atomic structure:
```
16
Lattice="5.213 0.000 0.000 0.000 5.213 0.000 0.000 0.000 20.690" Properties=species:S:1:pos:R:3 pbc="T T T"
Ac 0.000 0.000 0.000
Ac 2.606 2.606 10.345
Pr 0.000 2.606 2.667
Pr 0.000 2.606 7.678
Pr 0.000 2.606 13.012
Pr 0.000 2.606 18.023
Pr 2.606 0.000 2.667
Pr 2.606 0.000 7.678
Pr 2.606 0.000 13.012
Pr 2.606 0.000 18.023
Ho 0.000 0.000 5.144
Ho 0.000 0.000 10.345
Ho 0.000 0.000 15.546
Ho 2.606 2.606 0.000
Ho 2.606 2.606 5.201
Ho 2.606 2.606 15.489
```

# 10
The following is a simulated powder diffraction line list of Ac15Pr4Ho. It was derived from a cell relaxed with GGA-PBE, using λ = 1.5418 Å (Cu Kα).
No peak broadening, texture or thermal motion is included.

Most intense lines, 2θ from 10° to 90°, in order of rising 2θ:
2theta, I (rel.)
27.91, 100
32.30, 34
32.41, 17
46.39, 39
54.96, 31
55.11, 15
57.68, 14
74.65, 6
74.78, 13
85.96, 9

Atomic structure:
```
20
Lattice="5.543 0.000 0.000 0.000 5.543 0.000 0.000 0.000 27.621" Properties=species:S:1:pos:R:3 pbc="T T T"
Ac 0.000 0.000 0.000
Ac 0.000 0.000 5.488
Ac 0.000 0.000 11.036
Ac 0.000 0.000 16.584
Ac 0.000 0.000 22.133
Ac 0.000 2.771 2.716
Ac 0.000 2.771 8.260
Ac 0.000 2.771 13.810
Ac 0.000 2.771 19.361
Ac 0.000 2.771 24.905
Ac 2.771 0.000 2.716
Ac 2.771 0.000 8.260
Ac 2.771 0.000 13.810
Ac 2.771 0.000 19.361
Ac 2.771 0.000 24.905
Pr 2.771 2.771 5.486
Pr 2.771 2.771 11.036
Pr 2.771 2.771 16.585
Pr 2.771 2.771 22.134
Ho 2.771 2.771 0.000
```

# 11
The following is a simulated powder diffraction line list of AcPr3Ho8. It was derived from a cell relaxed with GGA-PBE, using λ = 1.5418 Å (Cu Kα).
No peak broadening, texture or thermal motion is included.

Most intense lines, 2θ from 10° to 90°, in order of rising 2θ:
2theta, I (rel.)
28.08, 24
31.00, 24
32.16, 100
42.31, 16
49.70, 20
55.88, 21
59.73, 23
60.43, 16
81.94, 14
85.67, 8

Atomic structure:
```
12
Lattice="-5.502 5.770 3.178 5.502 -5.770 3.178 5.502 5.770 -3.178" Properties=species:S:1:pos:R:3 pbc="T T T"
Ac 0.000 0.000 0.000
Pr 5.502 2.860 -0.994
Pr 5.502 0.000 3.175
Pr 0.000 2.910 2.184
Ho 3.664 0.000 0.044
Ho 7.341 0.000 0.044
Ho 1.869 2.914 -1.055
Ho 3.634 -2.856 2.123
Ho 3.621 5.770 0.047
Ho 1.881 0.000 3.225
Ho 1.869 8.625 -1.055
Ho 3.634 2.856 2.123
```

# 12
The following is a simulated powder diffraction line list of Ac4PrHo. It was derived from a cell relaxed with GGA-PBE, using λ = 1.5418 Å (Cu Kα).
No peak broadening, texture or thermal motion is included.

Most intense lines, 2θ from 10° to 90°, in order of rising 2θ:
2theta, I (rel.)
28.21, 100
32.34, 18
32.63, 17
33.08, 16
46.61, 13
46.94, 12
55.19, 16
55.56, 16
56.15, 14
58.34, 13

Atomic structure:
```
12
Lattice="5.536 0.000 0.000 0.000 16.248 0.000 0.000 0.000 5.488" Properties=species:S:1:pos:R:3 pbc="T T T"
Ac 0.000 2.612 0.000
Ac 0.000 5.499 2.744
Ac 0.000 10.749 2.744
Ac 0.000 13.636 0.000
Ac 2.768 2.625 2.744
Ac 2.768 5.512 0.000
Ac 2.768 10.736 0.000
Ac 2.768 13.623 2.744
Pr 0.000 8.124 0.000
Pr 2.768 0.000 0.000
Ho 0.000 0.000 2.744
Ho 2.768 8.124 2.744
```